1.
Structure and theoretical powder diffractogram of Ba2Zn2Ag (a cell relaxed with GGA-PBE; CuKα).
Kinematic intensities with the Lorentz-polarization factor, no thermal factor.

Structural model:
Cell lengths 4.075, 4.075, 19.491 Å; angles 90.00, 90.00, 90.00 degrees
Element x y z (fractional)
Ba 0.000 0.000 0.106
Ba 0.000 0.000 0.894
Ba 0.500 0.500 0.394
Ba 0.500 0.500 0.606
Zn 0.000 0.500 0.250
Zn 0.000 0.500 0.750
Zn 0.500 0.000 0.250
Zn 0.500 0.000 0.750
Ag 0.000 0.000 0.500
Ag 0.500 0.500 0.000

Main lines, in order of rising 2θ (10° ≤ 2θ ≤ 80°):
2θ (°)  intensity
22.29  15.7
25.81  59.7
31.04  20.8
31.77  100.0
32.40  70.3
36.22  34.9
36.89  19.5
44.46  37.7
52.12  16.6
55.67  39.3
57.04  33.2
59.10  18.9


2.
Structure and theoretical powder diffractogram of Nb6Pb10O25 (a cell relaxed with GGA-PBE; CuKα).
Kinematic intensities with the Lorentz-polarization factor, no thermal factor.

Structural model:
Cell lengths 7.703, 7.719, 11.110 Å; angles 89.20, 89.72, 89.73 degrees
Element x y z (fractional)
Nb 0.000 0.000 0.000
Nb 0.000 0.490 0.500
Nb 0.254 0.229 0.253
Nb 0.489 0.992 0.996
Nb 0.501 0.492 0.499
Nb 0.750 0.742 0.750
Pb 0.007 0.477 0.003
Pb 0.248 0.259 0.756
Pb 0.248 0.726 0.238
Pb 0.251 0.767 0.763
Pb 0.491 0.464 0.002
Pb 0.520 0.001 0.490
Pb 0.748 0.222 0.751
Pb 0.751 0.727 0.263
Pb 0.771 0.252 0.270
Pb 0.983 0.994 0.492
O 0.016 0.208 0.888
O 0.031 0.677 0.364
O 0.034 0.791 0.107
O 0.045 0.159 0.127
O 0.056 0.306 0.351
O 0.245 0.466 0.149
O 0.245 0.946 0.933
O 0.247 0.992 0.308
O 0.248 0.495 0.535
O 0.250 0.517 0.871
O 0.428 0.159 0.119
O 0.436 0.303 0.352
O 0.461 0.793 0.107
O 0.464 0.673 0.362
O 0.480 0.207 0.884
O 0.541 0.277 0.585
O 0.555 0.647 0.622
O 0.555 0.840 0.842
O 0.744 0.519 0.824
O 0.745 0.009 0.018
O 0.748 0.942 0.622
O 0.749 0.483 0.421
O 0.935 0.837 0.844
O 0.936 0.644 0.623
O 0.958 0.275 0.585

Main lines, in order of rising 2θ (10° ≤ 2θ ≤ 80°):
2θ (°)  intensity
14.06  10.5
27.97  49.0
28.13  49.4
28.30  100.0
32.23  28.1
32.78  25.7
32.93  26.1
46.30  13.4
46.59  14.1
46.94  25.7
47.15  26.3
55.96  28.0


3.
Structure and theoretical powder diffractogram of La4Pm5Nd (a cell relaxed with GGA-PBE; CuKα).
Kinematic intensities with the Lorentz-polarization factor, no thermal factor.

Structural model:
Cell lengths 10.692, 10.692, 6.126 Å; angles 90.00, 90.00, 90.00 degrees
Element x y z (fractional)
La 0.049 0.750 0.131
La 0.250 0.549 0.869
La 0.250 0.951 0.869
La 0.451 0.750 0.131
La 0.549 0.250 0.869
La 0.750 0.049 0.131
La 0.750 0.451 0.131
La 0.951 0.250 0.869
Pm 0.090 0.090 0.344
Pm 0.090 0.410 0.344
Pm 0.250 0.750 0.500
Pm 0.410 0.090 0.344
Pm 0.410 0.410 0.344
Pm 0.590 0.590 0.656
Pm 0.590 0.910 0.656
Pm 0.750 0.250 0.500
Pm 0.910 0.590 0.656
Pm 0.910 0.910 0.656
Nd 0.250 0.250 0.838
Nd 0.750 0.750 0.162

Main lines, in order of rising 2θ (10° ≤ 2θ ≤ 80°):
2θ (°)  intensity
27.73  22.7
28.98  100.0
30.19  45.7
30.35  35.1
34.78  12.0
35.62  31.6
37.65  14.5
51.27  16.0
52.16  27.0
56.73  14.2
59.97  18.2
68.62  19.8


4.
Structure and theoretical powder diffractogram of In3Sn3Pb2 (a cell relaxed with GGA-PBE; CuKα).
Kinematic intensities with the Lorentz-polarization factor, no thermal factor.

Structural model:
Cell lengths 3.419, 14.920, 9.059 Å; angles 90.00, 90.00, 90.00 degrees
Element x y z (fractional)
In 0.000 0.000 0.000
In 0.000 0.225 0.528
In 0.000 0.275 0.028
In 0.000 0.500 0.500
In 0.000 0.725 0.028
In 0.000 0.775 0.528
Sn 0.500 0.000 0.550
Sn 0.500 0.141 0.803
Sn 0.500 0.359 0.303
Sn 0.500 0.500 0.050
Sn 0.500 0.641 0.303
Sn 0.500 0.859 0.803
Pb 0.500 0.125 0.252
Pb 0.500 0.375 0.752
Pb 0.500 0.625 0.752
Pb 0.500 0.875 0.252

Main lines, in order of rising 2θ (10° ≤ 2θ ≤ 80°):
2θ (°)  intensity
26.06  13.1
31.06  100.0
32.82  61.3
33.30  29.7
35.62  44.9
39.80  22.7
40.30  15.1
40.98  16.4
53.61  13.3
54.47  21.1
59.58  14.3
63.26  29.4


5.
Structure and theoretical powder diffractogram of KSn3H (a cell relaxed with GGA-PBE; CuKα).
Kinematic intensities with the Lorentz-polarization factor, no thermal factor.

Structural model:
Cell lengths 6.780, 5.697, 7.140 Å; angles 90.00, 90.04, 90.00 degrees
Element x y z (fractional)
K 0.250 0.000 0.095
K 0.750 0.500 0.905
Sn 0.003 0.001 0.629
Sn 0.250 0.501 0.724
Sn 0.497 0.001 0.628
Sn 0.503 0.501 0.372
Sn 0.750 0.001 0.276
Sn 0.997 0.501 0.371
H 0.250 0.001 0.480
H 0.750 0.501 0.520

Main lines, in order of rising 2θ (10° ≤ 2θ ≤ 80°):
2θ (°)  intensity
12.40  58.7
18.04  21.3
29.16  22.6
29.53  39.2
31.40  47.3
32.41  18.2
33.21  100.0
39.94  36.1
41.10  14.6
43.38  17.2
57.07  21.7
67.86  16.6


6.
Structure and theoretical powder diffractogram of CdSi2Pt7 (a cell relaxed with GGA-PBE; CuKα).
Kinematic intensities with the Lorentz-polarization factor, no thermal factor.

Structural model:
Cell lengths 10.343, 10.343, 10.343 Å; angles 157.56, 157.56, 31.94 degrees
Element x y z (fractional)
Cd 0.000 0.000 0.000
Si 0.325 0.325 0.000
Si 0.675 0.675 0.000
Pt 0.106 0.606 0.500
Pt 0.250 0.750 0.500
Pt 0.394 0.894 0.500
Pt 0.500 0.500 0.000
Pt 0.606 0.106 0.500
Pt 0.750 0.250 0.500
Pt 0.894 0.394 0.500

Main lines, in order of rising 2θ (10° ≤ 2θ ≤ 80°):
2θ (°)  intensity
26.90  13.9
31.43  43.1
32.73  28.7
36.13  29.0
36.37  33.0
41.83  100.0
45.05  60.2
48.63  14.0
59.06  28.4
65.60  19.8
74.68  23.7
77.25  13.1


7.
Structure and theoretical powder diffractogram of TbSc5Ga3 (a cell relaxed with GGA-PBE; CuKα).
Kinematic intensities with the Lorentz-polarization factor, no thermal factor.

Structural model:
Cell lengths 8.459, 8.459, 6.204 Å; angles 90.00, 90.00, 120.00 degrees
Element x y z (fractional)
Tb 0.000 0.000 0.000
Tb 0.000 0.000 0.500
Sc 0.000 0.337 0.250
Sc 0.000 0.663 0.750
Sc 0.333 0.667 0.000
Sc 0.333 0.667 0.500
Sc 0.337 0.000 0.250
Sc 0.337 0.337 0.750
Sc 0.663 0.000 0.750
Sc 0.663 0.663 0.250
Sc 0.667 0.333 0.000
Sc 0.667 0.333 0.500
Ga 0.000 0.337 0.750
Ga 0.000 0.663 0.250
Ga 0.337 0.000 0.750
Ga 0.337 0.337 0.250
Ga 0.663 0.000 0.250
Ga 0.663 0.663 0.750

Main lines, in order of rising 2θ (10° ≤ 2θ ≤ 80°):
2θ (°)  intensity
12.08  40.4
24.30  11.1
31.32  10.9
32.33  9.6
35.90  100.0
36.81  93.6
43.83  8.0
52.36  32.4
65.71  31.7
66.30  15.3
72.15  23.8
78.31  9.3


8.
Structure and theoretical powder diffractogram of Cs2KTl5Cd2 (a cell relaxed with GGA-PBE; CuKα).
Kinematic intensities with the Lorentz-polarization factor, no thermal factor.

Structural model:
Cell lengths 13.040, 13.040, 4.513 Å; angles 90.00, 90.00, 90.00 degrees
Element x y z (fractional)
Cs 0.180 0.320 0.000
Cs 0.320 0.820 0.000
Cs 0.680 0.180 0.000
Cs 0.820 0.680 0.000
K 0.000 0.000 0.000
K 0.500 0.500 0.000
Tl 0.000 0.500 0.500
Tl 0.065 0.777 0.500
Tl 0.223 0.065 0.500
Tl 0.277 0.565 0.500
Tl 0.435 0.277 0.500
Tl 0.500 0.000 0.500
Tl 0.565 0.723 0.500
Tl 0.723 0.435 0.500
Tl 0.777 0.935 0.500
Tl 0.935 0.223 0.500
Cd 0.117 0.617 0.000
Cd 0.383 0.117 0.000
Cd 0.617 0.883 0.000
Cd 0.883 0.383 0.000

Main lines, in order of rising 2θ (10° ≤ 2θ ≤ 80°):
2θ (°)  intensity
15.19  27.0
24.95  28.1
27.66  33.9
28.22  85.3
29.05  26.3
29.34  100.0
30.66  28.9
31.70  83.7
33.92  48.2
39.95  35.7
49.08  31.1
49.63  36.3


9.
Structure and theoretical powder diffractogram of TbPm2Te2S2 (a cell relaxed with GGA-PBE; CuKα).
Kinematic intensities with the Lorentz-polarization factor, no thermal factor.

Structural model:
Cell lengths 5.083, 5.083, 15.970 Å; angles 90.00, 90.00, 90.00 degrees
Element x y z (fractional)
Tb 0.000 0.000 0.000
Tb 0.500 0.500 0.500
Pm 0.000 0.000 0.386
Pm 0.000 0.000 0.614
Pm 0.500 0.500 0.114
Pm 0.500 0.500 0.886
Te 0.000 0.000 0.188
Te 0.000 0.000 0.812
Te 0.500 0.500 0.312
Te 0.500 0.500 0.688
S 0.000 0.500 0.000
S 0.000 0.500 0.500
S 0.500 0.000 0.000
S 0.500 0.000 0.500

Main lines, in order of rising 2θ (10° ≤ 2θ ≤ 80°):
2θ (°)  intensity
11.08  6.8
24.77  98.6
33.12  100.0
33.55  8.3
35.31  58.0
49.19  65.7
50.80  20.4
57.32  19.9
62.00  16.4
63.77  7.4
69.52  9.1
73.41  19.8


10.
Structure and theoretical powder diffractogram of KTaAg2S4 (a cell relaxed with GGA-PBE; CuKα).
Kinematic intensities with the Lorentz-polarization factor, no thermal factor.

Structural model:
Cell lengths 6.671, 6.661, 6.652 Å; angles 60.15, 60.00, 59.86 degrees
Element x y z (fractional)
K 0.000 0.000 0.000
Ta 0.503 0.503 0.497
Ag 0.252 0.252 0.248
Ag 0.752 0.752 0.748
S 0.163 0.559 0.441
S 0.445 0.843 0.555
S 0.559 0.163 0.837
S 0.843 0.445 0.157

Main lines, in order of rising 2θ (10° ≤ 2θ ≤ 80°):
2θ (°)  intensity
16.30  32.2
26.76  100.0
31.47  6.5
38.21  10.0
38.33  10.0
41.77  6.7
47.23  38.6
47.34  16.0
55.11  6.7
62.17  7.0
75.43  11.0
75.62  11.2


11.
Structure and theoretical powder diffractogram of CaNd7Ho2 (a cell relaxed with GGA-PBE; CuKα).
Kinematic intensities with the Lorentz-polarization factor, no thermal factor.

Structural model:
Cell lengths 6.672, 6.723, 8.647 Å; angles 72.88, 71.74, 83.66 degrees
Element x y z (fractional)
Ca 0.000 0.000 0.000
Nd 0.000 0.000 0.500
Nd 0.207 0.592 0.769
Nd 0.226 0.542 0.341
Nd 0.420 0.236 0.064
Nd 0.580 0.764 0.936
Nd 0.774 0.458 0.659
Nd 0.793 0.408 0.231
Ho 0.427 0.144 0.634
Ho 0.573 0.856 0.366

Main lines, in order of rising 2θ (10° ≤ 2θ ≤ 80°):
2θ (°)  intensity
29.64  41.7
30.50  100.0
30.59  62.8
31.23  54.4
31.48  37.8
32.17  12.5
32.76  15.3
32.87  16.4
41.80  16.0
44.39  13.1
45.47  18.7
63.39  15.5


12.
Structure and theoretical powder diffractogram of BaMg4Si2 (a cell relaxed with GGA-PBE; CuKα).
Kinematic intensities with the Lorentz-polarization factor, no thermal factor.

Structural model:
Cell lengths 4.579, 15.991, 4.568 Å; angles 90.00, 90.00, 90.00 degrees
Element x y z (fractional)
Ba 0.000 0.000 0.000
Ba 0.500 0.500 0.000
Mg 0.000 0.176 0.500
Mg 0.000 0.320 0.000
Mg 0.000 0.680 0.000
Mg 0.000 0.824 0.500
Mg 0.500 0.180 0.000
Mg 0.500 0.324 0.500
Mg 0.500 0.676 0.500
Mg 0.500 0.820 0.000
Si 0.000 0.422 0.500
Si 0.000 0.578 0.500
Si 0.500 0.078 0.500
Si 0.500 0.922 0.500

Main lines, in order of rising 2θ (10° ≤ 2θ ≤ 80°):
2θ (°)  intensity
11.07  54.4
20.17  17.7
22.41  20.6
25.65  25.1
28.15  48.4
29.70  28.0
32.38  100.0
34.20  22.5
39.13  17.7
39.40  43.4
44.31  15.8
56.95  14.4


13.
Structure and theoretical powder diffractogram of CuAg2Cl4 (a cell relaxed with GGA-PBE; CuKα).
Kinematic intensities with the Lorentz-polarization factor, no thermal factor.

Structural model:
Cell lengths 6.074, 6.074, 10.576 Å; angles 90.00, 90.00, 90.00 degrees
Element x y z (fractional)
Cu 0.000 0.000 0.000
Cu 0.500 0.500 0.500
Ag 0.000 0.500 0.250
Ag 0.000 0.500 0.750
Ag 0.500 0.000 0.250
Ag 0.500 0.000 0.750
Cl 0.224 0.224 0.116
Cl 0.224 0.776 0.884
Cl 0.276 0.276 0.616
Cl 0.276 0.724 0.384
Cl 0.724 0.276 0.384
Cl 0.724 0.724 0.616
Cl 0.776 0.224 0.884
Cl 0.776 0.776 0.116

Main lines, in order of rising 2θ (10° ≤ 2θ ≤ 80°):
2θ (°)  intensity
16.81  35.2
20.68  20.1
26.74  100.0
29.41  8.8
34.05  18.1
40.04  8.2
42.06  27.7
45.48  37.9
50.56  30.4
56.43  10.8
72.83  9.7
79.30  12.0